1.
Diffraction record for Li4CrFe2Ni3P6O24. The powder diffraction line list is theoretical, not measured: it uses a DFT-relaxed cell (PBE+U, the Materials Project) and Cu Kα (λ = 1.5418 Å).

Structure:
Cell lengths 8.343, 8.418, 8.423 Å; angles 63.42, 63.77, 63.84 degrees
Element x y z (fractional)
Li1 0.000 0.000 0.000
Li2 0.106 0.499 0.915
Li3 0.517 0.710 0.291
Li4 0.893 0.122 0.502
Cr1 0.106 0.708 0.501
Fe1 0.264 0.858 0.643
Fe2 0.738 0.356 0.145
Ni1 0.391 0.003 0.792
Ni2 0.605 0.209 0.996
Ni3 0.896 0.503 0.296
P1 0.194 0.102 0.189
P2 0.301 0.604 0.096
P3 0.496 0.400 0.598
P4 0.697 0.907 0.397
P5 0.801 0.809 0.894
P6 0.998 0.305 0.696
O1 0.003 0.776 0.741
O2 0.064 0.466 0.659
O3 0.144 0.107 0.723
O4 0.149 0.529 0.127
O5 0.174 0.952 0.393
O6 0.207 0.036 0.043
O7 0.264 0.668 0.257
O8 0.306 0.763 0.908
O9 0.347 0.605 0.569
O10 0.359 0.161 0.146
O11 0.425 0.250 0.632
O12 0.501 0.453 0.082
O13 0.504 0.931 0.546
O14 0.564 0.373 0.750
O15 0.638 0.858 0.833
O16 0.649 0.423 0.393
O17 0.702 0.101 0.234
O18 0.725 0.754 0.326
O19 0.794 0.957 0.957
O20 0.816 0.606 0.048
O21 0.850 0.288 0.900
O22 0.860 0.866 0.464
O23 0.928 0.332 0.544
O24 0.993 0.259 0.216

Top 10 peaks for 2θ from 5° to 70°, by intensity:
Position (°2θ)	intensity	(hkl)
20.05	100	0 1 -1
35.10	64	-2 1 1
24.00	36	0 2 1
24.15	36	1 0 2
24.26	36	2 1 0
33.49	34	1 2 3
54.85	33	1 2 -3
33.69	31	2 3 1
33.87	29	3 1 2
31.16	17	0 1 -2

***

2.
Diffraction record for Li4Cr3Fe3O12. The powder diffraction line list is theoretical, not measured: it uses a DFT-relaxed cell (PBE+U, the Materials Project) and Cu Kα (λ = 1.5418 Å).

Structure:
Cell lengths 5.151, 6.028, 7.842 Å; angles 78.64, 77.02, 73.42 degrees
Element x y z (fractional)
Li1 0.003 0.167 0.337
Li2 0.491 0.335 0.167
Li3 0.509 0.665 0.833
Li4 0.997 0.833 0.663
Cr1 0.000 0.000 0.000
Cr2 0.002 0.332 0.667
Cr3 0.998 0.668 0.333
Fe1 0.500 0.167 0.832
Fe2 0.500 0.500 0.500
Fe3 0.500 0.833 0.168
O1 0.226 0.018 0.772
O2 0.232 0.363 0.419
O3 0.243 0.693 0.090
O4 0.247 0.809 0.409
O5 0.254 0.137 0.078
O6 0.271 0.481 0.728
O7 0.729 0.519 0.272
O8 0.746 0.863 0.922
O9 0.753 0.191 0.591
O10 0.757 0.307 0.910
O11 0.768 0.637 0.581
O12 0.774 0.982 0.228

Top 10 peaks for 2θ from 5° to 70°, by intensity:
Position (°2θ)	intensity	(hkl)
18.07	100	0 1 1
35.33	24	2 1 1
42.59	22	1 -2 1
42.77	22	2 2 2
43.29	21	1 0 -3
35.61	12	1 1 -2
62.63	12	3 2 -1
62.35	11	3 0 3
56.12	6	1 -3 0
36.97	6	1 2 -1